The following is a simulated powder XRD pattern of Sm2PbSe4. It was derived from the PBE geometry in Alexandria, using Cu Ka.
No peak broadening, texture or thermal motion is included.

Peak list (8 most intense, 10 to 90 degrees two-theta, most intense first)
| d_spacing | intensity |
| --- | --- |
| 2.843 | 100 |
| 2.404 | 65 |
| 3.671 | 38 |
| 1.460 | 21 |
| 1.917 | 19 |
| 2.012 | 16 |
| 1.765 | 14 |
| 1.225 | 13 |

Atomic structure:
```
Sm2PbSe4
1.0
-4.501 4.501 4.486
4.501 -4.501 4.486
4.501 4.501 -4.486
Sm Pb Se
4 2 8
direct
0.007 0.625 0.882 Sm
0.375 0.257 0.382 Sm
0.743 0.125 0.118 Sm
0.875 0.993 0.618 Sm
0.250 0.750 0.500 Pb
0.500 0.500 0.000 Pb
0.113 0.365 0.598 Se
0.115 0.363 0.098 Se
0.265 0.017 0.902 Se
0.485 0.887 0.253 Se
0.635 0.233 0.747 Se
0.637 0.735 0.753 Se
0.767 0.515 0.402 Se
0.983 0.885 0.247 Se
```


The following is a simulated powder XRD pattern of Ce4PuFe2. It was derived from the PBE geometry in Alexandria, using Cu Ka.
No peak broadening, texture or thermal motion is included.

Peak list (8 most intense, 10 to 90 degrees two-theta, most intense first)
| d_spacing | intensity |
| --- | --- |
| 2.592 | 100 |
| 2.823 | 81 |
| 2.367 | 81 |
| 2.303 | 47 |
| 2.406 | 43 |
| 3.099 | 40 |
| 4.733 | 34 |
| 2.979 | 33 |

Atomic structure:
```
Ce4PuFe2
1.0
7.137 0.000 0.000
2.746 6.748 0.000
2.751 0.113 6.750
Ce Pu Fe
8 2 4
direct
0.000 0.000 0.000 Ce
0.000 0.447 0.553 Ce
0.119 0.997 0.550 Ce
0.133 0.424 0.977 Ce
0.515 0.462 0.512 Ce
0.515 0.960 0.016 Ce
0.586 0.451 0.002 Ce
0.633 0.950 0.505 Ce
0.138 0.753 0.307 Pu
0.724 0.651 0.204 Pu
0.349 0.162 0.716 Fe
0.664 0.235 0.788 Fe
0.918 0.186 0.245 Fe
0.918 0.691 0.740 Fe
```


The following is a simulated powder XRD pattern of Ti6BiAu. It was derived from the PBE geometry in Alexandria, using Cu Ka.
No peak broadening, texture or thermal motion is included.

Peak list (8 most intense, 10 to 90 degrees two-theta, most intense first)
| d_spacing | intensity |
| --- | --- |
| 2.240 | 100 |
| 3.492 | 66 |
| 2.920 | 28 |
| 2.414 | 28 |
| 2.529 | 24 |
| 5.057 | 24 |
| 1.777 | 21 |
| 1.249 | 20 |

Atomic structure:
```
Ti6BiAu
1.0
5.840 0.000 0.000
-2.920 5.057 0.000
0.000 0.000 4.828
Ti Bi Au
6 1 1
direct
0.004 0.502 0.000 Ti
0.169 0.338 0.500 Ti
0.169 0.831 0.500 Ti
0.498 0.502 0.000 Ti
0.498 0.996 0.000 Ti
0.662 0.831 0.500 Ti
0.667 0.333 0.500 Bi
0.000 0.000 0.000 Au
```


The following is a simulated powder XRD pattern of LaPrSe3. It was derived from the PBE geometry in Alexandria, using Cu Ka.
No peak broadening, texture or thermal motion is included.

Peak list (8 most intense, 10 to 90 degrees two-theta, most intense first)
| d_spacing | intensity |
| --- | --- |
| 2.655 | 100 |
| 3.928 | 38 |
| 2.376 | 31 |
| 2.133 | 27 |
| 3.424 | 27 |
| 2.514 | 24 |
| 2.068 | 22 |
| 3.149 | 22 |

Atomic structure:
```
LaPrSe3
1.0
4.267 0.000 0.000
0.000 7.280 0.000
0.000 0.000 9.332
La Pr Se
2 2 6
direct
0.250 0.250 0.148 La
0.750 0.750 0.852 La
0.250 0.750 0.399 Pr
0.750 0.250 0.601 Pr
0.250 0.522 0.672 Se
0.250 0.750 0.067 Se
0.250 0.978 0.672 Se
0.750 0.022 0.328 Se
0.750 0.250 0.933 Se
0.750 0.478 0.328 Se
```